Diffraction record for DyYAu4. The powder diffractogram is theoretical, not measured: it uses a structure optimized by DFT (PBE) and copper Kα.
Lines closer than 0.1° are merged.

Structural model:
```
data_DyYAu4
_symmetry_space_group_name_H-M 'P 4/m m m'
_symmetry_Int_Tables_number 123
_symmetry_space_group_name_Hall '-P 4 2'
_cell_length_a 3.7337
_cell_length_b 3.7337
_cell_length_c 9.0521
_cell_angle_alpha 90.00
_cell_angle_beta 90.00
_cell_angle_gamma 90.00
loop_
_atom_site_label
_atom_site_fract_x
_atom_site_fract_y
_atom_site_fract_z
Dy1 0.0000 0.0000 0.0000
Y1 0.5000 0.5000 0.5000
Au1 0.0000 0.0000 0.3344
Au2 0.5000 0.5000 0.1654
```

Peak list (12 most intense, 10 to 80 degrees two-theta, sorted by position)
d (Å), 2theta, I/Imax, h k l
4.526, 19.6, 2, 0 0 2
3.452, 25.8, 6, 1 0 1
2.640, 34.0, 69, 1 1 0
2.347, 38.4, 100, 1 0 3
2.281, 39.5, 2, 1 1 2
1.867, 48.8, 25, 2 0 0
1.718, 53.3, 1, 1 1 4
1.642, 56.0, 1, 2 1 1
1.509, 61.5, 6, 0 0 6
1.461, 63.7, 46, 2 1 3
1.320, 71.5, 8, 2 2 0
1.310, 72.1, 16, 1 1 6

Diffraction record for CsPtSeS2. The powder diffractogram is theoretical, not measured: it uses a structure optimized by DFT (PBE) and copper Kα.
Lines closer than 0.1° are merged.

Structural model:
```
data_CsPtSeS2
_symmetry_space_group_name_H-M 'P -1'
_symmetry_Int_Tables_number 2
_cell_length_a 6.9775
_cell_length_b 7.1591
_cell_length_c 7.3556
_cell_angle_alpha 69.75
_cell_angle_beta 70.22
_cell_angle_gamma 63.75
loop_
_symmetry_equiv_pos_as_xyz
'x,y,z'
'-x,-y,-z'
loop_
_atom_site_label
_atom_site_fract_x
_atom_site_fract_y
_atom_site_fract_z
Cs1 0.1406 0.1552 0.1790
Pt1 0.2772 0.4608 0.4776
Se1 0.4281 0.8687 0.6146
S1 0.0018 0.3261 0.6929
S2 0.4586 0.3906 0.7286
```

Peak list (12 most intense, 10 to 80 degrees two-theta, sorted by position)
d (Å), 2theta, I/Imax, h k l
6.732, 13.2, 100, 0 0 1
6.244, 14.2, 19, 0 1 0
4.124, 21.5, 55, 0 1 -1
4.095, 21.7, 29, 1 0 -1
3.584, 24.8, 30, 1 1 2
3.452, 25.8, 33, 2 1 1
3.301, 27.0, 20, 0 1 2
3.123, 28.6, 58, 0 2 1
2.916, 30.7, 27, 2 1 2
2.746, 32.6, 40, 2 2 0
2.575, 34.8, 17, 2 0 -1
2.335, 38.6, 15, 2 -1 1

Diffraction record for Er5Tm3. The powder diffractogram is theoretical, not measured: it uses a structure optimized by DFT (PBE) and copper Kα.
Lines closer than 0.1° are merged.

Structural model:
```
data_Er5Tm3
_symmetry_space_group_name_H-M 'P -6 m 2'
_symmetry_Int_Tables_number 187
_symmetry_space_group_name_Hall 'P -6 2'
_cell_length_a 7.1198
_cell_length_b 7.1198
_cell_length_c 5.5192
_cell_angle_alpha 90.00
_cell_angle_beta 90.00
_cell_angle_gamma 120.00
loop_
_atom_site_label
_atom_site_fract_x
_atom_site_fract_y
_atom_site_fract_z
Er1 0.0000 0.0000 0.0000
Er2 0.0003 0.5001 0.0000
Er3 0.6667 0.3333 0.5000
Tm1 0.1669 0.3338 0.5000
```

Peak list (12 most intense, 10 to 80 degrees two-theta, sorted by position)
d (Å), 2theta, I/Imax, h k l
3.083, 29.0, 24, 2 0 0
2.760, 32.4, 24, 0 0 2
2.692, 33.3, 100, 2 0 1
2.056, 44.0, 15, 2 0 2
1.780, 51.3, 20, 2 2 0
1.580, 58.4, 20, 2 0 3
1.541, 60.0, 3, 4 0 0
1.496, 62.0, 22, 2 2 2
1.485, 62.6, 16, 4 0 1
1.380, 67.9, 3, 0 0 4
1.346, 69.9, 4, 4 0 2
1.259, 75.5, 3, 2 0 4

Diffraction record for RbHg11. The powder diffractogram is theoretical, not measured: it uses a structure optimized by DFT (PBE) and copper Kα.
Lines closer than 0.1° are merged.

Structural model:
```
data_RbHg11
_symmetry_space_group_name_H-M 'P m -3 m'
_symmetry_Int_Tables_number 221
_symmetry_space_group_name_Hall '-P 4 2 3'
_cell_length_a 9.9756
_cell_length_b 9.9756
_cell_length_c 9.9756
_cell_angle_alpha 90.00
_cell_angle_beta 90.00
_cell_angle_gamma 90.00
loop_
_atom_site_label
_atom_site_fract_x
_atom_site_fract_y
_atom_site_fract_z
Rb1 0.0000 0.0000 0.5000
Hg1 0.0000 0.3458 0.3458
Hg2 0.1539 0.1539 0.1539
Hg3 0.2680 0.2680 0.5000
Hg4 0.5000 0.5000 0.5000
```

Peak list (12 most intense, 10 to 80 degrees two-theta, sorted by position)
d (Å), 2theta, I/Imax, h k l
3.155, 28.3, 24, 3 1 0
3.008, 29.7, 43, 3 1 1
2.880, 31.1, 48, 2 2 2
2.767, 32.4, 30, 3 2 0
2.419, 37.2, 100, 4 1 0
2.351, 38.3, 63, 3 3 0
2.177, 41.5, 36, 4 2 1
1.763, 51.8, 14, 4 4 0
1.711, 53.6, 13, 4 3 3
1.558, 59.3, 34, 5 4 0
1.358, 69.2, 32, 6 3 3
1.299, 72.8, 13, 7 3 1

Diffraction record for PuGeSe4. The powder diffractogram is theoretical, not measured: it uses a structure optimized by DFT (PBE) and copper Kα.
Lines closer than 0.1° are merged.

Structural model:
```
data_PuGeSe4
_symmetry_space_group_name_H-M 'C m c 21'
_symmetry_Int_Tables_number 36
_cell_length_a 3.9139
_cell_length_b 16.2977
_cell_length_c 10.8295
_cell_angle_alpha 90.00
_cell_angle_beta 90.00
_cell_angle_gamma 90.00
loop_
_symmetry_equiv_pos_as_xyz
'x,y,z'
'-x,-y,z+1/2'
'-x,y,z'
'x,-y,z+1/2'
'x+1/2,y+1/2,z'
'-x+1/2,-y+1/2,z+1/2'
'-x+1/2,y+1/2,z'
'x+1/2,-y+1/2,z+1/2'
loop_
_atom_site_label
_atom_site_fract_x
_atom_site_fract_y
_atom_site_fract_z
Pu1 0.0000 0.1588 0.0000
Ge1 0.0000 0.2790 0.7753
Se1 0.0000 0.1195 0.2572
Se2 0.0000 0.2207 0.5626
Se3 0.0000 0.3982 0.3181
Se4 0.0000 0.4703 0.5069
```

Peak list (12 most intense, 10 to 80 degrees two-theta, sorted by position)
d (Å), 2theta, I/Imax, h k l
8.149, 10.9, 27, 0 2 0
6.511, 13.6, 100, 0 2 1
5.415, 16.4, 16, 0 0 2
3.176, 28.1, 34, 1 3 0
3.047, 29.3, 28, 1 3 1
2.739, 32.7, 50, 1 3 2
2.706, 33.1, 34, 0 0 4
2.440, 36.8, 37, 1 5 1
2.428, 37.0, 16, 0 6 2
2.059, 44.0, 42, 1 5 3
2.002, 45.3, 16, 0 8 1
1.957, 46.4, 16, 2 0 0

Diffraction record for La2NdSn3Pd3. The powder diffractogram is theoretical, not measured: it uses a structure optimized by DFT (PBE) and copper Kα.
Lines closer than 0.1° are merged.

Structural model:
```
data_La2NdSn3Pd3
_symmetry_space_group_name_H-M 'A m m 2'
_symmetry_Int_Tables_number 38
_cell_length_a 4.1902
_cell_length_b 13.3263
_cell_length_c 7.6794
_cell_angle_alpha 90.00
_cell_angle_beta 90.00
_cell_angle_gamma 90.00
loop_
_symmetry_equiv_pos_as_xyz
'x,y,z'
'-x,-y,z'
'-x,y,z'
'x,-y,z'
'x,y+1/2,z+1/2'
'-x,-y+1/2,z+1/2'
'-x,y+1/2,z+1/2'
'x,-y+1/2,z+1/2'
loop_
_atom_site_label
_atom_site_fract_x
_atom_site_fract_y
_atom_site_fract_z
La1 0.0000 0.2073 0.0000
Nd1 0.0000 0.0000 0.3802
Sn1 0.5000 0.0000 0.0433
Sn2 0.5000 0.1235 0.6662
Pd1 0.0000 0.0000 0.7913
Pd2 0.5000 0.1663 0.2920
```

Peak list (12 most intense, 10 to 80 degrees two-theta, sorted by position)
d (Å), 2theta, I/Imax, h k l
2.832, 31.6, 96, 1 0 2
2.606, 34.4, 100, 1 4 0
2.516, 35.7, 53, 0 4 2
2.219, 40.7, 30, 0 3 3
2.157, 41.9, 28, 1 1 3
2.095, 43.2, 29, 2 0 0
1.690, 54.3, 17, 1 5 3
1.610, 57.2, 28, 2 1 3
1.523, 60.8, 12, 2 3 3
1.435, 65.0, 21, 1 8 2
1.434, 65.1, 11, 1 1 5
1.288, 73.5, 11, 3 4 0

Diffraction record for ZrW. The powder diffractogram is theoretical, not measured: it uses a structure optimized by DFT (PBE) and copper Kα.
Lines closer than 0.1° are merged.

Structural model:
```
data_ZrW
_symmetry_space_group_name_H-M 'P m c 21'
_symmetry_Int_Tables_number 26
_cell_length_a 4.7890
_cell_length_b 8.5414
_cell_length_c 5.5838
_cell_angle_alpha 90.00
_cell_angle_beta 90.00
_cell_angle_gamma 90.00
loop_
_symmetry_equiv_pos_as_xyz
'x,y,z'
'-x,-y,z+1/2'
'-x,y,z'
'x,-y,z+1/2'
loop_
_atom_site_label
_atom_site_fract_x
_atom_site_fract_y
_atom_site_fract_z
Zr1 0.0000 0.1232 0.0000
Zr2 0.0000 0.2214 0.4882
Zr3 0.5000 0.3059 0.7656
W1 0.0000 0.4585 0.0208
W2 0.5000 0.0507 0.2660
W3 0.5000 0.3608 0.2533
```

Peak list (12 most intense, 10 to 80 degrees two-theta, sorted by position)
d (Å), 2theta, I/Imax, h k l
4.674, 19.0, 12, 0 1 1
2.536, 35.4, 26, 0 3 1
2.447, 36.7, 53, 1 3 0
2.412, 37.3, 100, 1 0 2
2.394, 37.6, 50, 2 0 0
2.241, 40.2, 39, 1 3 1
1.993, 45.5, 31, 0 3 2
1.741, 52.6, 17, 2 3 1
1.532, 60.4, 26, 2 3 2
1.386, 67.6, 19, 3 0 2
1.326, 71.1, 14, 1 6 1
1.213, 79.0, 11, 1 3 4